Simulated powder XRD pattern
Compound: Pu5AsS4
Radiation: a wavelength of 1.5418 Å
Structure: a crystal structure in Alexandria, relaxed with GGA-PBE
Peak positions follow from Bragg's law for the DFT cell and can differ from measured ones.

Structural model:
Lattice parameters (Å, degrees): 6.9399 6.9399 6.9399 99.62 99.62 131.75
Fractional positions:
Pu (0.0000, 0.0000, 0.0000)
Pu (0.1939, 0.3975, 0.5914)
Pu (0.3975, 0.8061, 0.2036)
Pu (0.6025, 0.1939, 0.7964)
Pu (0.8061, 0.6025, 0.4086)
As (0.5000, 0.5000, 0.0000)
S (0.1025, 0.7003, 0.8028)
S (0.2997, 0.1025, 0.4022)
S (0.7003, 0.8975, 0.5978)
S (0.8975, 0.2997, 0.1972)

Peak list (10 most intense, 2θ = 10–80°, low angle first)
2theta, Rel. int.
27.3, 92
31.6, 100
39.6, 1
45.3, 74
53.6, 46
56.2, 26
65.9, 4
66.0, 8
72.7, 19
74.9, 34



Simulated powder XRD pattern
Compound: Sm4SnTe2
Radiation: a wavelength of 1.5418 Å
Structure: a crystal structure in Alexandria, relaxed with GGA-PBE
Peak positions follow from Bragg's law for the DFT cell and can differ from measured ones.

Structural model:
Lattice parameters (Å, degrees): 8.4082 8.4082 8.4082 108.83 108.83 110.76
Fractional positions:
Sm (0.1829, 0.2434, 0.5605)
Sm (0.1829, 0.6225, 0.9395)
Sm (0.2434, 0.1829, 0.0605)
Sm (0.3775, 0.8171, 0.5605)
Sm (0.6225, 0.1829, 0.4395)
Sm (0.7566, 0.8171, 0.9395)
Sm (0.8171, 0.3775, 0.0605)
Sm (0.8171, 0.7566, 0.4395)
Sn (0.1250, 0.8750, 0.2500)
Sn (0.8750, 0.1250, 0.7500)
Te (0.0000, 0.5000, 0.5000)
Te (0.5000, 0.0000, 0.0000)
Te (0.5000, 0.5000, 0.0000)
Te (0.5000, 0.5000, 0.5000)

Peak list (10 most intense, 2θ = 10–80°, low angle first)
2theta, Rel. int.
25.8, 80
28.9, 41
29.5, 100
34.3, 65
34.5, 28
36.7, 47
39.5, 28
43.6, 35
43.8, 26
48.1, 27



Simulated powder XRD pattern
Compound: Ba2In2O5
Radiation: a wavelength of 1.5418 Å
Structure: a crystal structure in Alexandria, relaxed with GGA-PBE
Peak positions follow from Bragg's law for the DFT cell and can differ from measured ones.

Structural model:
Lattice parameters (Å, degrees): 6.0876 6.0876 10.5643 110.00 110.00 59.68
Fractional positions:
Ba (0.0000, 0.5000, 0.0000)
Ba (0.2313, 0.7687, 0.7500)
Ba (0.5000, 0.0000, 0.5000)
Ba (0.7687, 0.2313, 0.2500)
In (0.0897, 0.6321, 0.3609)
In (0.3679, 0.9103, 0.1391)
In (0.6321, 0.0897, 0.8609)
In (0.9103, 0.3679, 0.6391)
O (0.0000, 0.0000, 0.0000)
O (0.0000, 0.0000, 0.5000)
O (0.0000, 0.5000, 0.5000)
O (0.2448, 0.3561, 0.7959)
O (0.2501, 0.7499, 0.2500)
O (0.3561, 0.2448, 0.2959)
O (0.5000, 0.0000, 0.0000)
O (0.6439, 0.7552, 0.7041)
O (0.7499, 0.2501, 0.7500)
O (0.7552, 0.6439, 0.2041)

Peak list (10 most intense, 2θ = 10–80°, low angle first)
2theta, Rel. int.
29.4, 100
29.5, 28
30.8, 26
40.9, 17
43.1, 24
51.3, 13
52.2, 20
53.9, 17
61.0, 16
67.5, 9



Simulated powder XRD pattern
Compound: LaSn3Ir3
Radiation: a wavelength of 1.5418 Å
Structure: a crystal structure in Alexandria, relaxed with GGA-PBE
Peak positions follow from Bragg's law for the DFT cell and can differ from measured ones.

Structural model:
Lattice parameters (Å, degrees): 8.0036 8.0036 8.0036 53.28 53.28 53.28
Fractional positions:
La (0.1570, 0.1570, 0.1570)
La (0.8430, 0.8430, 0.8430)
Sn (0.0461, 0.5864, 0.2275)
Sn (0.2275, 0.0461, 0.5864)
Sn (0.4136, 0.7725, 0.9539)
Sn (0.5864, 0.2275, 0.0461)
Sn (0.7725, 0.9539, 0.4136)
Sn (0.9539, 0.4136, 0.7725)
Ir (0.1977, 0.6565, 0.4030)
Ir (0.3435, 0.5970, 0.8023)
Ir (0.4030, 0.1977, 0.6565)
Ir (0.5970, 0.8023, 0.3435)
Ir (0.6565, 0.4030, 0.1977)
Ir (0.8023, 0.3435, 0.5970)

Peak list (10 most intense, 2θ = 10–80°, low angle first)
2theta, Rel. int.
26.0, 47
28.1, 54
33.8, 46
36.3, 63
38.6, 100
39.3, 78
42.3, 24
47.2, 36
52.8, 38
68.3, 20